Theoretical XRD peak list
Compound: Pm5ErIr4
Radiation: λ = 1.5418 Å (Cu Kα)
Structure: a PBE-relaxed structure
No peak broadening, texture or thermal motion is included.

Principal peaks in the range 10° ≤ 2θ ≤ 90°, in order of rising 2θ:
index, Position (°2θ), d_spacing, I/Imax
2 0 -1, 17.33, 5.118, 208
1 1 1, 23.18, 3.837, 269
6 0 0, 35.92, 2.500, 509
3 1 -2, 36.41, 2.468, 1000
3 1 2, 36.54, 2.459, 979
0 2 0, 37.31, 2.410, 468
6 2 0, 52.76, 1.735, 342
9 1 -2, 64.80, 1.439, 185
0 2 4, 66.00, 1.415, 179
3 3 -2, 66.74, 1.402, 343

Crystal structure
abc: 14.9994 4.8207 6.9946
angles: 90.00 90.30 90.00
Space group C2/m (No. 12)
Asymmetric unit:
Pm 0.0000 0.0000 0.0000 x2
Pm 0.1650 0.5000 0.4990 x4
Pm 0.1655 0.5000 0.0009 x4
Er 0.0000 0.0000 0.5000 x2
Ir 0.0066 0.5000 0.2575 x4
Ir 0.1633 0.0000 0.7497 x4



Theoretical XRD peak list
Compound: PmZn3Co
Radiation: λ = 1.5418 Å (Cu Kα)
Structure: a PBE-relaxed structure
No peak broadening, texture or thermal motion is included.

Principal peaks in the range 10° ≤ 2θ ≤ 90°, in order of rising 2θ:
index, Position (°2θ), d_spacing, I/Imax
1 2 1, 31.59, 2.832, 637
0 2 2, 31.73, 2.820, 706
2 0 2, 38.19, 2.357, 1000
0 0 4, 38.65, 2.330, 338
2 2 0, 41.74, 2.164, 636
1 2 3, 42.07, 2.148, 718
0 4 0, 51.59, 1.772, 206
1 2 5, 58.44, 1.579, 248
3 2 3, 64.93, 1.436, 191
2 4 2, 65.97, 1.416, 258

Crystal structure
abc: 5.4633 7.0863 9.3192
angles: 90.00 90.00 90.00
Space group Immm (No. 71)
Asymmetric unit:
Pm 0.0000 0.0000 0.0000 x2
Pm 0.0000 0.5000 0.0000 x2
Zn 0.0000 0.1911 0.5000 x4
Zn 0.2500 0.2500 0.2500 x8
Co 0.0000 0.5000 0.3712 x4



Theoretical XRD peak list
Compound: LaSiNiN
Radiation: λ = 1.5418 Å (Cu Kα)
Structure: a PBE-relaxed structure
No peak broadening, texture or thermal motion is included.

Principal peaks in the range 10° ≤ 2θ ≤ 90°, in order of rising 2θ:
index, Position (°2θ), d_spacing, I/Imax
1 0 1, 25.56, 3.485, 588
1 0 2, 31.66, 2.826, 1000
0 0 3, 32.11, 2.788, 439
1 1 0, 33.04, 2.711, 307
1 1 1, 34.78, 2.579, 711
1 1 2, 39.62, 2.275, 520
2 0 0, 47.42, 1.917, 499
1 1 4, 55.50, 1.656, 359
2 1 2, 58.14, 1.587, 363
2 0 3, 58.42, 1.580, 300

Crystal structure
abc: 3.8343 3.8343 8.3626
angles: 90.00 90.00 90.00
Space group P4/nmm (No. 129, origin choice 2)
Asymmetric unit:
La 0.2500 0.2500 0.1599 x2
Si 0.2500 0.2500 0.6516 x2
Ni 0.2500 0.7500 0.5000 x2
N 0.2500 0.2500 0.8641 x2



Theoretical XRD peak list
Compound: TbNdSm2Tl4
Radiation: λ = 1.5418 Å (Cu Kα)
Structure: a PBE-relaxed structure
No peak broadening, texture or thermal motion is included.

Principal peaks in the range 10° ≤ 2θ ≤ 90°, in order of rising 2θ:
index, Position (°2θ), d_spacing, I/Imax
1 0 4, 23.04, 3.861, 22
1 1 0, 32.81, 2.730, 1000
0 2 4, 40.47, 2.229, 8
2 0 8, 47.08, 1.930, 185
2 1 4, 53.04, 1.726, 11
3 0 0, 58.57, 1.576, 387
2 2 0, 68.78, 1.365, 120
3 1 8, 78.32, 1.221, 167
0 0 24, 87.42, 1.116, 11
0 4 8, 87.58, 1.114, 33

Crystal structure
abc: 5.4567 5.4567 26.7746
angles: 90.00 90.00 120.00
Space group R-3m (No. 166, hexagonal axes)
Asymmetric unit:
Tb 0.0000 0.0000 0.0000 x3
Nd 0.0000 0.0000 0.5000 x3
Sm 0.0000 0.0000 0.2504 x6
Tl 0.0000 0.0000 0.1238 x6
Tl 0.0000 0.0000 0.3739 x6



Theoretical XRD peak list
Compound: Ce3RuC3
Radiation: λ = 1.5418 Å (Cu Kα)
Structure: a PBE-relaxed structure
No peak broadening, texture or thermal motion is included.

Principal peaks in the range 10° ≤ 2θ ≤ 90°, in order of rising 2θ:
index, Position (°2θ), d_spacing, I/Imax
2 2 1, 31.79, 2.815, 1000
1 3 1, 32.75, 2.735, 200
0 0 2, 34.28, 2.616, 316
0 4 0, 34.69, 2.586, 187
4 0 0, 41.26, 2.188, 94
0 4 2, 49.57, 1.839, 133
2 2 3, 59.82, 1.546, 146
2 6 1, 60.38, 1.533, 89
5 3 1, 62.05, 1.496, 89
3 5 2, 65.86, 1.418, 94

Crystal structure
abc: 8.7530 10.3431 5.2317
angles: 90.00 90.00 90.00
Space group Cmcm (No. 63)
Asymmetric unit:
Ce 0.0000 0.1141 0.2500 x4
Ce 0.2063 0.3770 0.2500 x8
Ru 0.0000 0.3081 0.7500 x4
C 0.0000 0.1188 0.7500 x4
C 0.2138 0.3731 0.7500 x8



Theoretical XRD peak list
Compound: La4Dy7Th
Radiation: λ = 1.5418 Å (Cu Kα)
Structure: a PBE-relaxed structure
No peak broadening, texture or thermal motion is included.

Principal peaks in the range 10° ≤ 2θ ≤ 90°, in order of rising 2θ:
index, Position (°2θ), d_spacing, I/Imax
1 0 4, 30.26, 2.954, 1000
0 0 12, 30.51, 2.930, 319
0 1 8, 35.15, 2.553, 672
1 1 0, 50.39, 1.811, 245
1 0 16, 50.73, 1.800, 230
0 2 4, 59.91, 1.544, 145
1 1 12, 60.06, 1.540, 281
0 1 20, 60.36, 1.533, 137
2 0 8, 62.93, 1.477, 128
2 1 4, 82.02, 1.175, 119

Crystal structure
abc: 3.6217 3.6217 35.1555
angles: 90.00 90.00 120.00
Space group P-3m1 (No. 164)
Asymmetric unit:
La 0.3333 0.6667 0.1657 x2
La 0.3333 0.6667 0.4157 x2
Dy 0.0000 0.0000 0.2497 x2
Dy 0.0000 0.0000 0.5000 x1
Dy 0.3333 0.6667 0.6692 x2
Dy 0.3333 0.6667 0.9207 x2
Th 0.0000 0.0000 0.0000 x1



Theoretical XRD peak list
Compound: MnAgCl4
Radiation: λ = 1.5418 Å (Cu Kα)
Structure: a PBE-relaxed structure
No peak broadening, texture or thermal motion is included.

Principal peaks in the range 10° ≤ 2θ ≤ 90°, in order of rising 2θ:
index, Position (°2θ), d_spacing, I/Imax
2 0 -2, 14.27, 6.209, 1000
4 0 0, 27.25, 3.273, 425
1 1 -3, 32.57, 2.749, 569
6 0 -2, 34.16, 2.625, 274
3 1 -5, 42.71, 2.117, 158
2 0 -6, 45.24, 2.004, 153
5 1 1, 46.95, 1.935, 149
0 2 0, 48.17, 1.889, 146
7 1 -5, 48.87, 1.864, 140
2 2 -2, 50.49, 1.807, 126

Crystal structure
abc: 16.0612 3.7770 12.8725
angles: 90.00 125.36 90.00
Space group C2/c (No. 15)
Asymmetric unit:
Mn 0.2500 0.2500 0.0000 x4
Ag 0.0000 0.2314 0.2500 x4
Cl 0.0849 0.2491 0.9387 x8
Cl 0.2090 0.3415 0.3453 x8



Theoretical XRD peak list
Compound: YBe4Ge3O12
Radiation: λ = 1.5418 Å (Cu Kα)
Structure: a PBE-relaxed structure
No peak broadening, texture or thermal motion is included.

Principal peaks in the range 10° ≤ 2θ ≤ 90°, in order of rising 2θ:
index, Position (°2θ), d_spacing, I/Imax
1 1 0, 18.08, 4.907, 410
0 2 1, 24.35, 3.655, 1000
2 1 1, 30.50, 2.931, 288
2 0 2, 32.69, 2.739, 819
2 2 0, 36.63, 2.453, 190
3 1 2, 46.09, 1.969, 426
0 4 2, 49.92, 1.827, 138
2 2 3, 53.53, 1.712, 295
0 2 4, 55.67, 1.651, 148
5 2 0, 69.01, 1.361, 138

Crystal structure
abc: 9.8134 9.8134 7.1668
angles: 90.00 90.00 120.00
Space group R32 (No. 155, hexagonal axes)
Asymmetric unit:
Y 0.0000 0.0000 0.0000 x3
Be 0.0000 0.0000 0.5000 x3
Be 0.0000 0.4343 0.5000 x9
Ge 0.0000 0.5599 0.0000 x9
O 0.0000 0.5926 0.5000 x9
O 0.0000 0.8415 0.5000 x9
O 0.0474 0.2174 0.1860 x18